1.
Computed XRD peak list of LiMn6O4F8 for a wavelength of 1.5418 Å, from a structure optimized by DFT (GGA+U).
No peak broadening, texture or thermal motion is included.

Structure:
abc: 4.987 5.850 7.969
angles: 92.06 95.00 93.59
Sites, in units of the cell vectors:
Li  0.000  0.000  0.000
Mn  0.321  0.297  0.419
Mn  0.393  0.014  0.742
Mn  0.462  0.743  0.101
Mn  0.663  0.291  0.129
Mn  0.883  0.501  0.772
Mn  0.887  0.791  0.422
O  0.177  0.017  0.532
O  0.578  0.530  0.294
O  0.603  0.027  0.970
O  0.661  0.519  0.972
F  0.077  0.520  0.542
F  0.084  0.260  0.188
F  0.091  0.800  0.194
F  0.122  0.226  0.845
F  0.166  0.764  0.866
F  0.599  0.284  0.635
F  0.616  0.047  0.302
F  0.664  0.786  0.647

Top 12 peaks for 10° ≤ 2θ ≤ 90°, sorted by position:
| d_spacing | Rel. int. |
| --- | --- |
| 3.907 | 23 |
| 3.566 | 70 |
| 3.212 | 100 |
| 2.822 | 42 |
| 2.775 | 33 |
| 2.726 | 33 |
| 2.644 | 24 |
| 2.158 | 24 |
| 1.783 | 24 |
| 1.673 | 27 |
| 1.609 | 18 |
| 1.458 | 16 |



2.
Computed XRD peak list of Li7MnO3F3 for a wavelength of 1.5418 Å, from a structure optimized by DFT (GGA+U).
No peak broadening, texture or thermal motion is included.

Structure:
abc: 5.495 6.030 10.075
angles: 105.79 90.96 111.73
Sites, in units of the cell vectors:
Li  0.000  0.000  0.000
Li  0.003  0.305  0.526
Li  0.017  0.036  0.655
Li  0.022  0.316  0.877
Li  0.044  0.041  0.321
Li  0.094  0.738  0.458
Li  0.432  0.621  0.605
Li  0.461  0.315  0.733
Li  0.505  0.291  0.384
Li  0.514  0.015  0.151
Li  0.517  0.344  0.045
Li  0.556  0.993  0.826
Li  0.573  0.032  0.540
Li  0.993  0.366  0.220
Mn  0.046  0.697  0.759
Mn  0.550  0.660  0.313
O  0.175  0.414  0.714
O  0.226  0.440  0.397
O  0.318  0.916  0.649
O  0.659  0.377  0.227
O  0.846  0.934  0.464
O  0.861  0.930  0.811
F  0.183  0.375  0.061
F  0.332  0.953  0.976
F  0.340  0.932  0.322
F  0.671  0.382  0.568
F  0.691  0.361  0.887
F  0.828  0.956  0.157

Top 12 peaks for 10° ≤ 2θ ≤ 90°, sorted by position:
| d_spacing | Rel. int. |
| --- | --- |
| 4.806 | 52 |
| 4.742 | 56 |
| 4.480 | 57 |
| 4.259 | 100 |
| 4.005 | 44 |
| 2.590 | 85 |
| 2.559 | 80 |
| 2.350 | 49 |
| 2.010 | 22 |
| 2.004 | 33 |
| 1.830 | 23 |
| 1.614 | 23 |



3.
Computed XRD peak list of Li2Mn3OF6 for a wavelength of 1.5418 Å, from a structure optimized by DFT (GGA+U).
No peak broadening, texture or thermal motion is included.

Structure:
abc: 5.167 10.785 12.021
angles: 64.29 79.01 89.68
Sites, in units of the cell vectors:
Li  0.000  0.000  0.000
Li  0.000  0.319  0.719
Li  0.153  0.588  0.507
Li  0.350  0.550  0.280
Li  0.392  0.495  0.009
Li  0.649  0.818  0.712
Li  0.708  0.092  0.516
Li  0.709  0.033  0.306
Mn  0.010  0.652  0.855
Mn  0.131  0.004  0.725
Mn  0.190  0.857  0.495
Mn  0.294  0.225  0.299
Mn  0.345  0.034  0.160
Mn  0.463  0.822  0.002
Mn  0.492  0.158  0.840
Mn  0.559  0.510  0.710
Mn  0.686  0.370  0.474
Mn  0.768  0.730  0.286
Mn  0.846  0.539  0.142
Mn  0.854  0.310  0.030
O  0.276  0.983  0.879
O  0.572  0.176  0.177
O  0.618  0.690  0.153
O  0.754  0.503  0.004
F  0.058  0.036  0.323
F  0.095  0.879  0.154
F  0.117  0.375  0.151
F  0.146  0.169  0.005
F  0.226  0.660  0.997
F  0.282  0.496  0.864
F  0.295  0.825  0.712
F  0.343  0.660  0.590
F  0.351  0.345  0.712
F  0.454  0.174  0.592
F  0.460  0.546  0.426
F  0.466  0.030  0.448
F  0.513  0.875  0.317
F  0.519  0.379  0.315
F  0.639  0.016  0.012
F  0.735  0.330  0.848
F  0.784  0.831  0.845
F  0.803  0.660  0.710
F  0.859  0.452  0.585
F  0.868  0.155  0.729
F  0.917  0.952  0.590
F  0.963  0.243  0.431
F  0.973  0.743  0.427
F  0.979  0.541  0.307

Top 12 peaks for 10° ≤ 2θ ≤ 90°, sorted by position:
| d_spacing | Rel. int. |
| --- | --- |
| 4.657 | 100 |
| 3.528 | 31 |
| 3.461 | 26 |
| 3.442 | 29 |
| 2.957 | 34 |
| 2.943 | 29 |
| 2.865 | 24 |
| 2.838 | 25 |
| 1.959 | 25 |
| 1.915 | 24 |
| 1.870 | 30 |
| 1.860 | 30 |



4.
Computed XRD peak list of Li3Mn5OF11 for a wavelength of 1.5418 Å, from a structure optimized by DFT (GGA+U).
No peak broadening, texture or thermal motion is included.

Structure:
abc: 5.502 5.706 9.181
angles: 79.40 89.74 63.63
Sites, in units of the cell vectors:
Li  0.000  0.000  0.000
Li  0.099  0.634  0.704
Li  0.701  0.565  0.224
Mn  0.010  0.948  0.323
Mn  0.297  0.400  0.084
Mn  0.484  0.017  0.499
Mn  0.563  0.875  0.853
Mn  0.655  0.417  0.639
O  0.728  0.715  0.676
F  0.203  0.216  0.296
F  0.245  0.785  0.531
F  0.269  0.129  0.972
F  0.295  0.708  0.190
F  0.321  0.641  0.878
F  0.328  0.280  0.653
F  0.716  0.249  0.443
F  0.740  0.224  0.134
F  0.748  0.772  0.353
F  0.805  0.101  0.818
F  0.859  0.681  0.048

Top 12 peaks for 10° ≤ 2θ ≤ 90°, sorted by position:
| d_spacing | Rel. int. |
| --- | --- |
| 4.910 | 47 |
| 4.478 | 41 |
| 4.159 | 100 |
| 4.012 | 41 |
| 3.743 | 75 |
| 3.050 | 88 |
| 2.917 | 53 |
| 2.817 | 47 |
| 2.365 | 64 |
| 2.291 | 50 |
| 1.930 | 44 |
| 1.570 | 43 |



5.
Computed XRD peak list of LiMnOF2 for a wavelength of 1.5418 Å, from a structure optimized by DFT (GGA+U).
No peak broadening, texture or thermal motion is included.

Structure:
abc: 4.978 5.230 8.524
angles: 90.00 90.00 90.00
Sites, in units of the cell vectors:
Li  0.000  0.000  0.000
Li  0.000  0.500  0.395
Li  0.500  0.000  0.895
Li  0.500  0.500  0.500
Mn  0.000  0.000  0.642
Mn  0.000  0.500  0.809
Mn  0.500  0.000  0.309
Mn  0.500  0.500  0.142
O  0.182  0.182  0.803
O  0.318  0.682  0.303
O  0.682  0.318  0.303
O  0.818  0.818  0.803
F  0.229  0.165  0.471
F  0.229  0.651  0.629
F  0.271  0.151  0.129
F  0.271  0.665  0.971
F  0.729  0.335  0.971
F  0.729  0.849  0.129
F  0.771  0.349  0.629
F  0.771  0.835  0.471

Top 12 peaks for 10° ≤ 2θ ≤ 90°, sorted by position:
| d_spacing | Rel. int. |
| --- | --- |
| 4.458 | 19 |
| 4.299 | 100 |
| 2.753 | 45 |
| 2.315 | 13 |
| 2.233 | 44 |
| 1.835 | 10 |
| 1.803 | 18 |
| 1.763 | 33 |
| 1.535 | 10 |
| 1.486 | 14 |
| 1.483 | 9 |
| 1.382 | 8 |



6.
Computed XRD peak list of LiMn2O2F3 for a wavelength of 1.5418 Å, from a structure optimized by DFT (GGA+U).
No peak broadening, texture or thermal motion is included.

Structure:
abc: 5.284 5.284 10.579
angles: 90.00 90.00 137.99
Sites, in units of the cell vectors:
Li  0.173  0.827  0.750
Li  0.827  0.173  0.250
Mn  0.154  0.846  0.058
Mn  0.154  0.846  0.442
Mn  0.846  0.154  0.558
Mn  0.846  0.154  0.942
O  0.307  0.693  0.559
O  0.307  0.693  0.941
O  0.693  0.307  0.059
O  0.693  0.307  0.441
F  0.029  0.971  0.621
F  0.029  0.971  0.879
F  0.247  0.753  0.250
F  0.753  0.247  0.750
F  0.971  0.029  0.121
F  0.971  0.029  0.379

Top 12 peaks for 10° ≤ 2θ ≤ 90°, sorted by position:
| d_spacing | Rel. int. |
| --- | --- |
| 5.290 | 100 |
| 4.933 | 31 |
| 4.471 | 18 |
| 3.537 | 87 |
| 3.354 | 17 |
| 2.940 | 17 |
| 2.869 | 62 |
| 2.021 | 26 |
| 1.945 | 26 |
| 1.894 | 32 |
| 1.581 | 17 |
| 1.568 | 29 |



7.
Computed XRD peak list of Li7MnO4F2 for a wavelength of 1.5418 Å, from a structure optimized by DFT (GGA+U).
No peak broadening, texture or thermal motion is included.

Structure:
abc: 5.886 5.886 10.278
angles: 111.20 111.20 59.36
Sites, in units of the cell vectors:
Li  0.000  0.000  0.000
Li  0.118  0.631  0.746
Li  0.168  0.631  0.515
Li  0.397  0.880  0.298
Li  0.431  0.431  0.313
Li  0.521  0.521  0.030
Li  0.531  0.965  0.083
Li  0.602  0.602  0.796
Li  0.631  0.118  0.746
Li  0.631  0.168  0.515
Li  0.668  0.668  0.565
Li  0.880  0.397  0.298
Li  0.905  0.905  0.299
Li  0.965  0.531  0.083
Mn  0.113  0.113  0.818
Mn  0.118  0.118  0.559
O  0.277  0.797  0.421
O  0.302  0.821  0.918
O  0.405  0.952  0.716
O  0.696  0.696  0.210
O  0.797  0.277  0.421
O  0.821  0.302  0.918
O  0.889  0.889  0.619
O  0.952  0.405  0.716
F  0.265  0.265  0.352
F  0.358  0.358  0.108
F  0.399  0.399  0.642
F  0.910  0.910  0.114

Top 12 peaks for 10° ≤ 2θ ≤ 90°, sorted by position:
| d_spacing | Rel. int. |
| --- | --- |
| 5.093 | 32 |
| 4.939 | 100 |
| 4.830 | 36 |
| 4.650 | 45 |
| 4.015 | 42 |
| 2.933 | 21 |
| 2.769 | 26 |
| 2.547 | 21 |
| 2.322 | 33 |
| 2.184 | 24 |
| 1.823 | 22 |
| 1.734 | 21 |



8.
Computed XRD peak list of LiMn6O4F8 for a wavelength of 1.5418 Å, from a structure optimized by DFT (GGA+U).
No peak broadening, texture or thermal motion is included.

Structure:
abc: 5.394 6.376 7.740
angles: 80.95 82.67 79.34
Sites, in units of the cell vectors:
Li  0.000  0.000  0.000
Mn  0.259  0.916  0.447
Mn  0.303  0.239  0.130
Mn  0.313  0.585  0.794
Mn  0.563  0.098  0.715
Mn  0.668  0.669  0.091
Mn  0.846  0.461  0.488
O  0.174  0.980  0.212
O  0.394  0.867  0.669
O  0.432  0.494  0.027
O  0.580  0.411  0.686
F  0.106  0.632  0.551
F  0.169  0.241  0.896
F  0.415  0.207  0.370
F  0.598  0.732  0.351
F  0.633  0.022  0.995
F  0.932  0.106  0.550
F  0.947  0.431  0.221
F  0.987  0.732  0.906

Top 12 peaks for 10° ≤ 2θ ≤ 90°, sorted by position:
| d_spacing | Rel. int. |
| --- | --- |
| 5.273 | 27 |
| 4.150 | 100 |
| 3.357 | 81 |
| 3.244 | 23 |
| 2.745 | 25 |
| 2.648 | 17 |
| 2.555 | 17 |
| 2.536 | 18 |
| 2.381 | 31 |
| 2.172 | 19 |
| 1.780 | 20 |
| 1.700 | 16 |



9.
Computed XRD peak list of Li4MnOF4 for a wavelength of 1.5418 Å, from a structure optimized by DFT (GGA+U).
No peak broadening, texture or thermal motion is included.

Structure:
abc: 5.249 5.249 5.249
angles: 98.75 98.75 134.09
Sites, in units of the cell vectors:
Li  0.084  0.711  0.795
Li  0.289  0.084  0.373
Li  0.711  0.916  0.627
Li  0.916  0.289  0.205
Mn  0.500  0.500  0.000
O  0.000  0.000  0.000
F  0.189  0.399  0.588
F  0.399  0.811  0.210
F  0.601  0.189  0.790
F  0.811  0.601  0.412

Top 12 peaks for 10° ≤ 2θ ≤ 90°, sorted by position:
| d_spacing | Rel. int. |
| --- | --- |
| 4.834 | 58 |
| 3.512 | 64 |
| 3.418 | 33 |
| 2.450 | 39 |
| 2.417 | 10 |
| 2.162 | 100 |
| 2.047 | 38 |
| 1.991 | 15 |
| 1.720 | 19 |
| 1.529 | 26 |
| 1.486 | 49 |
| 1.225 | 21 |



10.
Computed XRD peak list of LiMn2O2F3 for a wavelength of 1.5418 Å, from a structure optimized by DFT (GGA+U).
No peak broadening, texture or thermal motion is included.

Structure:
abc: 5.824 5.824 7.138
angles: 110.10 110.10 55.89
Sites, in units of the cell vectors:
Li  0.000  0.000  0.000
Li  0.000  0.000  0.500
Mn  0.375  0.393  0.798
Mn  0.393  0.375  0.298
Mn  0.607  0.625  0.702
Mn  0.625  0.607  0.202
O  0.291  0.550  0.563
O  0.450  0.709  0.937
O  0.550  0.291  0.063
O  0.709  0.450  0.437
F  0.064  0.334  0.163
F  0.183  0.817  0.250
F  0.334  0.064  0.663
F  0.666  0.936  0.337
F  0.817  0.183  0.750
F  0.936  0.666  0.837

Top 12 peaks for 10° ≤ 2θ ≤ 90°, sorted by position:
| d_spacing | Rel. int. |
| --- | --- |
| 4.731 | 100 |
| 3.388 | 13 |
| 3.288 | 29 |
| 2.731 | 26 |
| 2.571 | 26 |
| 2.483 | 9 |
| 2.377 | 15 |
| 2.269 | 9 |
| 1.811 | 15 |
| 1.790 | 32 |
| 1.681 | 19 |
| 1.524 | 16 |